Computed PXRD pattern of Li5Mn4O8 for a wavelength of 1.5418 Å, from a crystal structure in Alexandria, relaxed with PBE+U.

Structural model:
a = 5.828 Å, b = 6.286 Å, c = 10.380 Å
α = 79.83°, β = 73.93°, γ = 62.40°
Space group P-1 (No. 2)
Symmetry-distinct sites (fractional):
1 Li 0.000 0.000 0.000
2 Li 0.096 0.042 0.795
3 Li 0.256 0.309 0.723
4 Li 0.288 0.665 0.757
5 Li 0.294 0.717 0.266
6 Li 0.500 0.500 0.500
7 Mn 0.000 0.000 0.500
8 Mn 0.000 0.500 0.000
9 Mn 0.000 0.500 0.500
10 Mn 0.250 0.247 0.253
11 Mn 0.500 0.000 0.000
12 Mn 0.500 0.000 0.500
13 Mn 0.500 0.500 0.000
14 O 0.108 0.626 0.624
15 O 0.115 0.137 0.139
16 O 0.117 0.644 0.111
17 O 0.143 0.140 0.616
18 O 0.353 0.388 0.372
19 O 0.363 0.376 0.886
20 O 0.385 0.886 0.377
21 O 0.405 0.818 0.876

The 10 most intense peaks (10 to 90 degrees two-theta), by intensity:
- (0 1 1), d = 4.972 Å, intensity 100
- (0 2 -2), d = 2.371 Å, intensity 41
- (2 0 -2), d = 2.068 Å, intensity 27
- (2 2 4), d = 2.060 Å, intensity 27
- (1 -1 2), d = 2.780 Å, intensity 25
- (2 2 2), d = 2.515 Å, intensity 21
- (2 4 2), d = 1.557 Å, intensity 18
- (0 0 4), d = 2.488 Å, intensity 14
- (1 0 -3), d = 2.522 Å, intensity 12
- (2 2 -4), d = 1.560 Å, intensity 10